Record 1
Simulated XRD peak list of TlTc5 for Cu Kα (weighted mean of Kα1 and Kα2), from DFT lattice parameters and positions (PBE).
Intensities are scaled so that the largest is 100.

Cell and atoms:
```
data_TlTc5
_chemical_formula_sum 'Tl1 Tc5'
_cell_length_a 2.842
_cell_length_b 2.842
_cell_length_c 11.842
_cell_angle_alpha 90.00
_cell_angle_beta 90.00
_cell_angle_gamma 90.00
_space_group_name_H-M_alt 'P 4/m m m'
_space_group_IT_number 123
_space_group_name_Hall '-P 4 2'
loop_
_atom_site_label
_atom_site_type_symbol
_atom_site_fract_x
_atom_site_fract_y
_atom_site_fract_z
Tl1 Tl 0.000 0.000 0.000
Tc1 Tc 0.000 0.000 0.337
Tc2 Tc 0.500 0.500 0.194
Tc3 Tc 0.500 0.500 0.500
```

Top 10 peaks for 2θ from 10° to 90°, low angle first:
- 2θ = 32.40°, 2.763 Å, I = 6
- 2θ = 35.02°, 2.562 Å, I = 8
- 2θ = 39.05°, 2.306 Å, I = 100
- 2θ = 45.12°, 2.010 Å, I = 36
- 2θ = 45.98°, 1.974 Å, I = 13
- 2θ = 65.71°, 1.421 Å, I = 11
- 2θ = 66.39°, 1.408 Å, I = 16
- 2θ = 79.17°, 1.210 Å, I = 25
- 2θ = 80.43°, 1.194 Å, I = 7
- 2θ = 83.91°, 1.153 Å, I = 9

***

Record 2
Simulated XRD peak list of YTlTc4 for Cu Kα (weighted mean of Kα1 and Kα2), from DFT lattice parameters and positions (PBE).
Intensities are scaled so that the largest is 100.

Cell and atoms:
```
data_YTlTc4
_chemical_formula_sum 'Y4 Tl4 Tc16'
_cell_length_a 7.561
_cell_length_b 7.561
_cell_length_c 7.561
_cell_angle_alpha 90.00
_cell_angle_beta 90.00
_cell_angle_gamma 90.00
_space_group_name_H-M_alt 'F -4 3 m'
_space_group_IT_number 216
_space_group_name_Hall 'F -4 2 3'
loop_
_atom_site_label
_atom_site_type_symbol
_atom_site_fract_x
_atom_site_fract_y
_atom_site_fract_z
Y1 Y 0.000 0.000 0.000
Tl1 Tl 0.250 0.250 0.250
Tc1 Tc 0.124 0.124 0.624
```

Top 10 peaks for 2θ from 10° to 90°, low angle first:
- 2θ = 20.34°, 4.365 Å, I = 7
- 2θ = 33.52°, 2.673 Å, I = 39
- 2θ = 39.53°, 2.280 Å, I = 100
- 2θ = 41.37°, 2.183 Å, I = 30
- 2θ = 59.94°, 1.543 Å, I = 15
- 2θ = 63.99°, 1.455 Å, I = 32
- 2θ = 70.45°, 1.337 Å, I = 25
- 2θ = 80.31°, 1.195 Å, I = 6
- 2θ = 83.92°, 1.153 Å, I = 11
- 2θ = 85.12°, 1.140 Å, I = 11